# Ti2H3N
Calculated X-ray powder pattern, CuKα. Input: DFT lattice parameters and positions (GGA-PBE).

Main lines, in order of rising 2θ (2θ = 10–90°):
index, Position (°2θ), d [Å], intensity
1 1 0, 27.41, 3.254, 4.8
1 1 1, 33.74, 2.657, 100.0
2 0 0, 39.15, 2.301, 32.4
2 1 1, 48.46, 1.879, 1.4
2 2 0, 56.57, 1.627, 38.9
3 1 1, 67.51, 1.387, 32.8
2 2 2, 70.95, 1.328, 7.0
4 0 0, 84.16, 1.150, 5.3

Structural model:
abc: 4.6015 4.6015 4.6015
angles: 90.00 90.00 90.00
Atoms (fractional coordinates):
Ti (0.0000, 0.0000, 0.0000)
Ti (0.0000, 0.5000, 0.5000)
Ti (0.5000, 0.0000, 0.5000)
Ti (0.5000, 0.5000, 0.0000)
H (0.2500, 0.2500, 0.7500)
H (0.2500, 0.7500, 0.2500)
H (0.2500, 0.7500, 0.7500)
H (0.7500, 0.2500, 0.2500)
H (0.7500, 0.2500, 0.7500)
H (0.7500, 0.7500, 0.2500)
N (0.2500, 0.2500, 0.2500)
N (0.7500, 0.7500, 0.7500)


# ThFeSiC
Calculated X-ray powder pattern, CuKα. Input: DFT lattice parameters and positions (GGA-PBE).

Main lines, in order of rising 2θ (2θ = 10–90°):
index, Position (°2θ), d [Å], intensity
1 0 1, 25.53, 3.489, 63.6
0 0 3, 31.44, 2.845, 100.0
1 1 0, 33.14, 2.704, 28.1
1 1 1, 34.81, 2.577, 33.9
1 1 2, 39.47, 2.283, 23.6
2 0 0, 47.56, 1.912, 25.4
1 0 4, 48.91, 1.862, 18.5
1 1 4, 54.80, 1.675, 34.2
2 0 3, 58.14, 1.587, 45.6
2 2 3, 78.31, 1.221, 13.6

Structural model:
abc: 3.8235 3.8235 8.5276
angles: 90.00 90.00 90.00
Atoms (fractional coordinates):
Th (0.2500, 0.2500, 0.1611)
Th (0.7500, 0.7500, 0.8389)
Fe (0.2500, 0.7500, 0.5000)
Fe (0.7500, 0.2500, 0.5000)
Si (0.2500, 0.2500, 0.6517)
Si (0.7500, 0.7500, 0.3483)
C (0.2500, 0.2500, 0.8715)
C (0.7500, 0.7500, 0.1285)


# LuTiBi
Calculated X-ray powder pattern, CuKα. Input: DFT lattice parameters and positions (GGA-PBE).

Main lines, in order of rising 2θ (2θ = 10–90°):
index, Position (°2θ), d [Å], intensity
1 0 0, 20.65, 4.301, 29.4
1 0 1, 32.98, 2.716, 100.0
1 1 0, 36.17, 2.483, 65.5
2 0 1, 49.75, 1.833, 32.1
0 0 2, 52.24, 1.751, 7.7
2 1 1, 63.04, 1.475, 31.9
3 0 0, 65.06, 1.434, 11.9
1 1 2, 65.19, 1.431, 23.7
3 1 1, 86.11, 1.129, 14.2
3 0 2, 88.04, 1.109, 11.0

Structural model:
abc: 4.9664 4.9664 3.5024
angles: 90.00 90.00 120.00
Atoms (fractional coordinates):
Lu (0.0000, 0.0000, 0.0000)
Ti (0.3333, 0.6667, 0.5000)
Bi (0.6667, 0.3333, 0.5000)


# Al3ZnGa4
Calculated X-ray powder pattern, CuKα. Input: DFT lattice parameters and positions (GGA-PBE).

Main lines, in order of rising 2θ (2θ = 10–90°):
index, Position (°2θ), d [Å], intensity
0 2 0, 23.64, 3.763, 67.5
2 1 0, 24.59, 3.621, 79.7
2 1 1, 29.79, 2.999, 24.8
0 1 2, 35.59, 2.522, 29.7
2 0 2, 40.14, 2.247, 100.0
2 3 0, 42.15, 2.144, 83.4
4 0 0, 43.84, 2.065, 39.0
2 2 2, 47.11, 1.929, 40.7
0 3 2, 49.81, 1.831, 50.0
4 3 2, 68.50, 1.370, 37.1

Structural model:
abc: 8.2605 7.5257 5.3547
angles: 90.00 90.00 90.00
Atoms (fractional coordinates):
Al (0.0000, 0.1576, 0.0000)
Al (0.2468, 0.6634, 0.7606)
Al (0.2532, 0.3366, 0.2606)
Al (0.5000, 0.8424, 0.5000)
Al (0.7468, 0.3366, 0.2606)
Al (0.7532, 0.6634, 0.7606)
Zn (0.0000, 0.8155, 0.0165)
Zn (0.5000, 0.1845, 0.5165)
Ga (0.0000, 0.1774, 0.4961)
Ga (0.0000, 0.8394, 0.5212)
Ga (0.2486, 0.6800, 0.2622)
Ga (0.2514, 0.3200, 0.7622)
Ga (0.5000, 0.1606, 0.0212)
Ga (0.5000, 0.8226, 0.9961)
Ga (0.7486, 0.3200, 0.7622)
Ga (0.7514, 0.6800, 0.2622)